1.
Structure and theoretical X-ray powder pattern of Ba3Be4 (a crystal structure in Alexandria, relaxed with GGA-PBE; Cu Kα, 1.54184 Å).

Top 10 peaks for 10° ≤ 2θ ≤ 90°, by angle:
- 2θ 13.00, intensity 45
- 2θ 20.19, intensity 52
- 2θ 24.09, intensity 22
- 2θ 26.16, intensity 94
- 2θ 33.27, intensity 100
- 2θ 46.16, intensity 21
- 2θ 49.33, intensity 29
- 2θ 50.86, intensity 27
- 2θ 58.08, intensity 20
- 2θ 69.85, intensity 22

Structural model:
a = 7.8656 Å, b = 7.8656 Å, c = 4.3982 Å
α = 90.00°, β = 90.00°, γ = 120.00°
Positions (direct):
Ba 0.0000 0.5000 0.0000
Ba 0.5000 0.0000 0.0000
Ba 0.5000 0.5000 0.0000
Be 0.0000 0.0000 0.2528
Be 0.0000 0.0000 0.7472
Be 0.3333 0.6667 0.5000
Be 0.6667 0.3333 0.5000

=====

2.
Structure and theoretical X-ray powder pattern of Cs2AuIF6 (a crystal structure in Alexandria, relaxed with GGA-PBE; Cu Kα, 1.54184 Å).

Top 10 peaks for 10° ≤ 2θ ≤ 90°, by angle:
- 2θ 24.98, intensity 100
- 2θ 25.48, intensity 47
- 2θ 34.88, intensity 15
- 2θ 36.35, intensity 28
- 2θ 43.69, intensity 20
- 2θ 44.61, intensity 40
- 2θ 51.26, intensity 19
- 2θ 56.82, intensity 12
- 2θ 69.35, intensity 13
- 2θ 71.17, intensity 11

Structural model:
a = 7.1349 Å, b = 7.1349 Å, c = 7.1349 Å
α = 121.33°, β = 121.33°, γ = 87.71°
Positions (direct):
Cs 0.2500 0.7500 0.5000
Cs 0.7500 0.2500 0.5000
Au 0.0000 0.0000 0.0000
I 0.5000 0.5000 0.0000
F 0.1971 0.1971 0.0000
F 0.2912 0.2912 0.5823
F 0.2912 0.7088 0.0000
F 0.7088 0.2912 0.0000
F 0.7088 0.7088 0.4177
F 0.8029 0.8029 0.0000

=====

3.
Structure and theoretical X-ray powder pattern of Pm2GaNi16 (a crystal structure in Alexandria, relaxed with GGA-PBE; Cu Kα, 1.54184 Å).

Top 10 peaks for 10° ≤ 2θ ≤ 90°, by angle:
- 2θ 30.67, intensity 31
- 2θ 37.26, intensity 42
- 2θ 38.59, intensity 28
- 2θ 43.29, intensity 62
- 2θ 43.61, intensity 100
- 2θ 44.52, intensity 48
- 2θ 49.00, intensity 27
- 2θ 63.84, intensity 25
- 2θ 79.42, intensity 18
- 2θ 81.40, intensity 17

Structural model:
a = 6.3122 Å, b = 6.3122 Å, c = 6.3122 Å
α = 82.93°, β = 82.93°, γ = 82.93°
Positions (direct):
Pm 0.0000 0.0000 0.0000
Pm 0.3134 0.3134 0.3134
Ga 0.7463 0.7463 0.7463
Ni 0.1533 0.6551 0.6551
Ni 0.3113 0.3113 0.8073
Ni 0.3113 0.8073 0.3113
Ni 0.3590 0.6538 0.9485
Ni 0.3590 0.9485 0.6538
Ni 0.5014 0.9979 0.9979
Ni 0.5533 0.5533 0.5533
Ni 0.6538 0.3590 0.9485
Ni 0.6538 0.9485 0.3590
Ni 0.6551 0.1533 0.6551
Ni 0.6551 0.6551 0.1533
Ni 0.8073 0.3113 0.3113
Ni 0.9485 0.3590 0.6538
Ni 0.9485 0.6538 0.3590
Ni 0.9979 0.5014 0.9979
Ni 0.9979 0.9979 0.5014

=====

4.
Structure and theoretical X-ray powder pattern of Nd2Ti12Cu9O36 (a crystal structure in Alexandria, relaxed with GGA-PBE; Cu Kα, 1.54184 Å).

Top 10 peaks for 10° ≤ 2θ ≤ 90°, by angle:
- 2θ 23.84, intensity 6
- 2θ 33.96, intensity 100
- 2θ 38.12, intensity 8
- 2θ 41.95, intensity 7
- 2θ 48.79, intensity 28
- 2θ 60.65, intensity 12
- 2θ 60.82, intensity 36
- 2θ 71.39, intensity 6
- 2θ 81.48, intensity 8
- 2θ 81.61, intensity 8

Structural model:
a = 10.5464 Å, b = 10.5464 Å, c = 6.4807 Å
α = 90.00°, β = 90.00°, γ = 120.00°
Positions (direct):
Nd 0.3333 0.6667 0.1714
Nd 0.6667 0.3333 0.8286
Ti 0.0000 0.0000 0.0000
Ti 0.0000 0.5000 0.0000
Ti 0.1566 0.3173 0.3378
Ti 0.1607 0.8434 0.3378
Ti 0.3173 0.1607 0.6622
Ti 0.3333 0.6667 0.6598
Ti 0.5000 0.0000 0.0000
Ti 0.5000 0.5000 0.0000
Ti 0.6667 0.3333 0.3402
Ti 0.6827 0.8393 0.3378
Ti 0.8393 0.1566 0.6622
Ti 0.8434 0.6827 0.6622
Cu 0.0000 0.5000 0.5000
Cu 0.1683 0.3366 0.8389
Cu 0.1683 0.8317 0.8389
Cu 0.3366 0.1683 0.1611
Cu 0.5000 0.0000 0.5000
Cu 0.5000 0.5000 0.5000
Cu 0.6634 0.8317 0.8389
Cu 0.8317 0.1683 0.1611
Cu 0.8317 0.6634 0.1611
O 0.0163 0.1642 0.1699
O 0.0443 0.2683 0.5891
O 0.0731 0.4477 0.2501
O 0.1159 0.7073 0.0878
O 0.1479 0.9837 0.1699
O 0.1642 0.1479 0.8301
O 0.1752 0.5262 0.8526
O 0.1919 0.6839 0.4871
O 0.2240 0.9557 0.5891
O 0.2683 0.2240 0.4109
O 0.2927 0.4085 0.0878
O 0.3161 0.5080 0.4871
O 0.3510 0.8248 0.8526
O 0.3746 0.9269 0.2501
O 0.4085 0.1159 0.9122
O 0.4477 0.3746 0.7499
O 0.4738 0.6490 0.8526
O 0.4920 0.8081 0.4871
O 0.5080 0.1919 0.5129
O 0.5262 0.3510 0.1474
O 0.5523 0.6254 0.2501
O 0.5915 0.8841 0.0878
O 0.6254 0.0731 0.7499
O 0.6490 0.1752 0.1474
O 0.6839 0.4920 0.5129
O 0.7073 0.5915 0.9122
O 0.7317 0.7760 0.5891
O 0.7760 0.0443 0.4109
O 0.8081 0.3161 0.5129
O 0.8248 0.4738 0.1474
O 0.8358 0.8521 0.1699
O 0.8521 0.0163 0.8301
O 0.8841 0.2927 0.9122
O 0.9269 0.5523 0.7499
O 0.9557 0.7317 0.4109
O 0.9837 0.8358 0.8301